Theoretical X-ray powder pattern of Er4CuPb for Cu Kα X-rays, from a crystal structure in Alexandria, relaxed with GGA-PBE.

Principal peaks in the range 2θ from 10° to 90°, by angle:
2θ/deg	I_rel	index
31.67	100	1 2 -1
33.02	78	1 0 -3
33.13	47	2 0 -1
33.58	86	0 2 2
33.70	73	1 2 1
38.63	40	1 0 3

Crystal structure
Cell: 5.458 6.873 8.620 Å, 90.00 100.55 90.00°
Sites, in units of the cell vectors:
Er (0.137, 0.250, 0.049)
Er (0.211, 0.750, 0.359)
Er (0.325, 0.511, 0.756)
Er (0.325, 0.989, 0.756)
Er (0.675, 0.011, 0.244)
Er (0.675, 0.489, 0.244)
Er (0.789, 0.250, 0.641)
Er (0.863, 0.750, 0.951)
Cu (0.366, 0.750, 0.045)
Cu (0.634, 0.250, 0.955)
Pb (0.226, 0.250, 0.422)
Pb (0.774, 0.750, 0.578)

***

Theoretical X-ray powder pattern of ErCu3Pd4 for Cu Kα X-rays, from a crystal structure in Alexandria, relaxed with GGA-PBE.

Principal peaks in the range 2θ from 10° to 90°, by angle:
2θ/deg	I_rel	index
39.93	100	1 1 2
43.30	41	2 0 0
52.29	10	0 0 4
62.90	13	2 2 0
70.15	16	2 0 4
77.15	27	3 1 2

Crystal structure
Cell: 4.179 4.179 6.999 Å, 90.00 90.00 90.00°
Sites, in units of the cell vectors:
Er (0.000, 0.000, 0.000)
Cu (0.000, 0.000, 0.500)
Cu (0.500, 0.500, 0.000)
Cu (0.500, 0.500, 0.500)
Pd (0.000, 0.500, 0.270)
Pd (0.000, 0.500, 0.730)
Pd (0.500, 0.000, 0.270)
Pd (0.500, 0.000, 0.730)

***

Theoretical X-ray powder pattern of Er3Cu2Pd2 for Cu Kα X-rays, from a crystal structure in Alexandria, relaxed with GGA-PBE.

Principal peaks in the range 2θ from 10° to 90°, by angle:
2θ/deg	I_rel	index
28.89	49	1 0 1
33.16	100	1 1 2
34.44	52	0 2 1
34.63	42	1 2 1
38.54	47	0 0 3
41.02	70	1 -1 1

Crystal structure
Cell: 3.941 5.567 7.424 Å, 71.99 89.97 69.37°
Sites, in units of the cell vectors:
Er (0.000, 0.000, 0.000)
Er (0.172, 0.656, 0.643)
Er (0.828, 0.344, 0.357)
Cu (0.313, 0.374, 0.061)
Cu (0.687, 0.626, 0.939)
Pd (0.453, 0.093, 0.664)
Pd (0.547, 0.907, 0.336)